Diffraction record for K2Rb6AuS. The PXRD pattern is simulated, not measured: it uses a crystal structure in Alexandria, relaxed with GGA-PBE and Cu Kα, 1.54184 Å.

Largest 8 diffraction maxima, by angle, 2θ from 5° to 70°:
d [Å]  2theta  I_rel  index
6.852  12.92  75.1  0 2 0
4.132  21.51  27.6  1 1 -2
3.956  22.47  38.3  2 2 0
3.426  26.01  100.0  0 4 0
3.144  28.39  25.1  3 1 0
3.064  29.14  43.3  2 0 1
2.423  37.11  75.2  4 0 0
1.978  45.88  26.4  4 4 0

```
data_K2Rb6AuS
_cell_length_a 13.6976
_cell_length_b 13.7034
_cell_length_c 9.6798
_cell_angle_alpha 90.00
_cell_angle_beta 134.91
_cell_angle_gamma 90.00
_space_group_name_H-M_alt 'C 1 m 1'
_space_group_IT_number 8
_space_group_name_Hall 'C -2y'
loop_
_atom_site_label
_atom_site_fract_x
_atom_site_fract_y
_atom_site_fract_z
K1 0.0000 0.2498 0.0000
Rb1 0.2350 0.0000 0.4998
Rb2 0.2361 0.0000 0.9743
Rb3 0.2611 0.5000 0.5003
Rb4 0.2622 0.5000 0.0260
Rb5 0.4991 0.2629 0.5001
Au1 0.4977 0.0000 0.5002
S1 0.4980 0.5000 0.5001
```